1.
# Ba4TlBiPb2O9
Calculated powder diffraction line list, Cu Kα (λ = 1.5418 Å). Input: DFT lattice parameters and positions (PBE).
Peak positions follow from Bragg's law for the DFT cell and can differ from measured ones.

The 10 most intense peaks (2θ = 10–90°), by intensity:
2theta	I/Imax
29.5	100.0
28.0	50.8
50.5	47.6
40.0	26.7
61.3	15.1
82.6	11.4
86.3	10.9
44.4	10.6
65.5	10.5
66.3	9.4

Structure:
Cell: 6.3631 12.7547 8.1651 Å, 90.00 90.00 90.00°
Element x y z (fractional)
Ba: 0.0000 0.0000 0.2500
Ba: 0.0000 0.0000 0.7500
Ba: 0.0000 0.5000 0.2500
Ba: 0.0000 0.5000 0.7500
Ba: 0.5000 0.2401 0.2500
Ba: 0.5000 0.2401 0.7500
Ba: 0.5000 0.7599 0.2500
Ba: 0.5000 0.7599 0.7500
Tl: 0.5000 0.5000 0.0000
Tl: 0.5000 0.5000 0.5000
Bi: 0.5000 0.0000 0.0000
Bi: 0.5000 0.0000 0.5000
Pb: 0.9995 0.2519 0.0000
Pb: 0.0005 0.2519 0.5000
Pb: 0.0005 0.7481 0.0000
Pb: 0.9995 0.7481 0.5000
O: 0.2107 0.4052 0.0000
O: 0.2107 0.5948 0.5000
O: 0.2174 0.0998 0.5000
O: 0.2174 0.9002 0.0000
O: 0.3006 0.1415 0.0000
O: 0.3006 0.8585 0.5000
O: 0.3096 0.3568 0.5000
O: 0.3096 0.6432 0.0000
O: 0.5000 0.0000 0.2500
O: 0.5000 0.0000 0.7500
O: 0.6904 0.3568 0.0000
O: 0.6904 0.6432 0.5000
O: 0.6994 0.1415 0.5000
O: 0.6994 0.8585 0.0000
O: 0.7826 0.0998 0.0000
O: 0.7826 0.9002 0.5000
O: 0.7893 0.4052 0.5000
O: 0.7893 0.5948 0.0000


2.
# Ti2SbP
Calculated powder diffraction line list, Cu Kα (λ = 1.5418 Å). Input: DFT lattice parameters and positions (PBE).
Peak positions follow from Bragg's law for the DFT cell and can differ from measured ones.

The 10 most intense peaks (2θ = 10–90°), by intensity:
2theta	I/Imax
35.6	100.0
50.2	32.3
31.7	24.0
63.0	17.4
28.3	16.3
46.0	15.8
52.2	15.7
29.2	15.7
14.0	15.1
84.5	14.9

Structure:
Cell: 3.6380 3.6380 12.6662 Å, 90.00 90.00 120.00°
Element x y z (fractional)
Ti: 0.3333 0.6667 0.1000
Ti: 0.3333 0.6667 0.4000
Ti: 0.6667 0.3333 0.6000
Ti: 0.6667 0.3333 0.9000
Sb: 0.3333 0.6667 0.7500
Sb: 0.6667 0.3333 0.2500
P: 0.0000 0.0000 0.0000
P: 0.0000 0.0000 0.5000


3.
# SrCaSmBiO6
Calculated powder diffraction line list, Cu Kα (λ = 1.5418 Å). Input: DFT lattice parameters and positions (PBE).
Peak positions follow from Bragg's law for the DFT cell and can differ from measured ones.

The 10 most intense peaks (2θ = 10–90°), by intensity:
2theta	I/Imax
29.1	100.0
51.6	41.9
20.5	38.4
41.6	31.4
83.3	22.2
60.3	19.9
68.3	18.5
46.8	18.0
64.4	8.7
75.9	6.6

Structure:
Cell: 6.1384 6.1384 6.1384 Å, 60.00 60.00 60.00°
Element x y z (fractional)
Sr: 0.0000 0.0000 0.0000
Ca: 0.5000 0.5000 0.5000
Sm: 0.7500 0.7500 0.7500
Bi: 0.2500 0.2500 0.2500
O: 0.0083 0.0083 0.4917
O: 0.0083 0.4917 0.0083
O: 0.0083 0.4917 0.4917
O: 0.4917 0.0083 0.0083
O: 0.4917 0.0083 0.4917
O: 0.4917 0.4917 0.0083